Record 1
Diffraction record for Pa3Be4PbO12. The powder diffraction line list is simulated, not measured: it uses a DFT-relaxed cell (PBE, Alexandria) and copper Kα.
Intensities are scaled so that the largest is 100.

Structural model:
```
Pa3Be4PbO12
1.0
5.317 3.070 2.864
-5.317 3.070 2.864
0.000 -6.140 2.864
Pa Be Pb O
3 4 1 12
direct
0.000 0.543 0.457 Pa
0.457 0.000 0.543 Pa
0.543 0.457 0.000 Pa
0.047 0.500 0.953 Be
0.500 0.500 0.500 Be
0.500 0.953 0.047 Be
0.953 0.047 0.500 Be
0.000 0.000 0.000 Pb
0.021 0.623 0.787 O
0.101 0.899 0.500 O
0.213 0.377 0.979 O
0.354 0.646 0.500 O
0.377 0.979 0.213 O
0.500 0.101 0.899 O
0.500 0.354 0.646 O
0.623 0.787 0.021 O
0.646 0.500 0.354 O
0.787 0.021 0.623 O
0.899 0.500 0.101 O
0.979 0.213 0.377 O
```

Largest 10 diffraction maxima, most intense first, 10 to 90 degrees two-theta:
21.9 deg, I 100
28.4 deg, I 72
46.6 deg, I 44
33.7 deg, I 26
41.1 deg, I 19
16.7 deg, I 18
55.9 deg, I 16
40.6 deg, I 15
27.6 deg, I 12
36.7 deg, I 11

***

Record 2
Diffraction record for Ca2Pr3. The powder diffraction line list is simulated, not measured: it uses a DFT-relaxed cell (PBE, Alexandria) and copper Kα.
Intensities are scaled so that the largest is 100.

Structural model:
```
Ca2Pr3
1.0
1.879 1.085 15.644
-1.879 1.085 15.644
0.000 -2.170 15.644
Ca Pr
2 3
direct
0.202 0.202 0.202 Ca
0.798 0.798 0.798 Ca
0.000 0.000 0.000 Pr
0.397 0.397 0.397 Pr
0.603 0.603 0.603 Pr
```

Largest 10 diffraction maxima, most intense first, 10 to 90 degrees two-theta:
29.0 deg, I 100
33.5 deg, I 67
28.5 deg, I 35
57.2 deg, I 28
48.4 deg, I 24
47.8 deg, I 23
57.5 deg, I 14
31.4 deg, I 13
56.6 deg, I 13
60.2 deg, I 12

***

Record 3
Diffraction record for Cs4K2Cd. The powder diffraction line list is simulated, not measured: it uses a DFT-relaxed cell (PBE, Alexandria) and copper Kα.
Intensities are scaled so that the largest is 100.

Structural model:
```
Cs4K2Cd
1.0
-8.364 8.364 4.073
8.364 -8.364 4.073
8.364 8.364 -4.073
Cs K Cd
8 4 2
direct
0.093 0.805 0.898 Cs
0.195 0.093 0.289 Cs
0.305 0.593 0.898 Cs
0.407 0.305 0.711 Cs
0.593 0.695 0.289 Cs
0.695 0.407 0.102 Cs
0.805 0.907 0.711 Cs
0.907 0.195 0.102 Cs
0.096 0.404 0.500 K
0.404 0.904 0.309 K
0.596 0.096 0.691 K
0.904 0.596 0.500 K
0.250 0.250 0.000 Cd
0.750 0.750 0.000 Cd
```

Largest 10 diffraction maxima, most intense first, 10 to 90 degrees two-theta:
22.0 deg, I 100
24.5 deg, I 47
27.6 deg, I 40
44.3 deg, I 38
21.8 deg, I 23
38.4 deg, I 23
27.2 deg, I 22
40.8 deg, I 22
23.8 deg, I 20
26.6 deg, I 16

***

Record 4
Diffraction record for Y3Be2Pt5. The powder diffraction line list is simulated, not measured: it uses a DFT-relaxed cell (PBE, Alexandria) and copper Kα.
Intensities are scaled so that the largest is 100.

Structural model:
```
Y3Be2Pt5
1.0
9.741 0.000 0.000
0.000 9.741 0.000
0.000 0.000 3.666
Y Be Pt
6 4 10
direct
0.000 0.000 0.000 Y
0.177 0.323 0.000 Y
0.323 0.823 0.000 Y
0.500 0.500 0.000 Y
0.677 0.177 0.000 Y
0.823 0.677 0.000 Y
0.115 0.615 0.000 Be
0.385 0.115 0.000 Be
0.615 0.885 0.000 Be
0.885 0.385 0.000 Be
0.000 0.500 0.500 Pt
0.071 0.776 0.500 Pt
0.224 0.071 0.500 Pt
0.276 0.571 0.500 Pt
0.429 0.276 0.500 Pt
0.500 0.000 0.500 Pt
0.571 0.724 0.500 Pt
0.724 0.429 0.500 Pt
0.776 0.929 0.500 Pt
0.929 0.224 0.500 Pt
```

Largest 10 diffraction maxima, most intense first, 10 to 90 degrees two-theta:
38.1 deg, I 100
41.5 deg, I 58
31.9 deg, I 45
24.3 deg, I 38
35.8 deg, I 23
49.7 deg, I 20
64.3 deg, I 19
33.2 deg, I 18
73.4 deg, I 18
66.7 deg, I 14

***

Record 5
Diffraction record for Rb2PCl7. The powder diffraction line list is simulated, not measured: it uses a DFT-relaxed cell (PBE, Alexandria) and copper Kα.
Intensities are scaled so that the largest is 100.

Structural model:
```
Rb2PCl7
1.0
-3.935 3.935 4.547
3.935 -3.935 4.547
3.935 3.935 -4.547
Rb P Cl
2 1 7
direct
0.250 0.750 0.500 Rb
0.750 0.250 0.500 Rb
0.000 0.000 0.000 P
0.206 0.206 0.412 Cl
0.206 0.794 0.000 Cl
0.231 0.231 0.000 Cl
0.500 0.500 0.000 Cl
0.769 0.769 0.000 Cl
0.794 0.206 0.000 Cl
0.794 0.794 0.588 Cl
```

Largest 10 diffraction maxima, most intense first, 10 to 90 degrees two-theta:
30.0 deg, I 100
32.2 deg, I 80
25.3 deg, I 57
51.9 deg, I 50
22.6 deg, I 41
46.1 deg, I 33
39.6 deg, I 25
41.4 deg, I 18
56.0 deg, I 18
67.3 deg, I 18

***

Record 6
Diffraction record for As4HBr2. The powder diffraction line list is simulated, not measured: it uses a DFT-relaxed cell (PBE, Alexandria) and copper Kα.
Intensities are scaled so that the largest is 100.

Structural model:
```
As4HBr2
1.0
-2.296 2.296 7.262
2.296 -2.296 7.262
2.296 2.296 -7.262
As H Br
4 1 2
direct
0.000 0.500 0.500 As
0.118 0.118 0.000 As
0.500 0.000 0.500 As
0.882 0.882 0.000 As
0.000 0.000 0.000 H
0.301 0.301 0.000 Br
0.699 0.699 0.000 Br
```

Largest 10 diffraction maxima, most intense first, 10 to 90 degrees two-theta:
30.1 deg, I 100
39.2 deg, I 74
36.6 deg, I 69
37.1 deg, I 56
54.7 deg, I 42
65.6 deg, I 25
56.7 deg, I 25
27.5 deg, I 24
69.7 deg, I 19
48.1 deg, I 16

***

Record 7
Diffraction record for Ho5Tm12Sc. The powder diffraction line list is simulated, not measured: it uses a DFT-relaxed cell (PBE, Alexandria) and copper Kα.
Intensities are scaled so that the largest is 100.

Structural model:
```
Ho5Tm12Sc
1.0
3.030 -5.244 0.000
3.030 5.244 0.000
-2.026 0.000 16.952
Ho Tm Sc
5 12 1
direct
0.000 0.000 0.000 Ho
0.167 0.833 0.500 Ho
0.333 0.667 0.000 Ho
0.667 0.333 0.000 Ho
0.833 0.167 0.500 Ho
0.057 0.390 0.168 Tm
0.114 0.114 0.334 Tm
0.224 0.555 0.666 Tm
0.276 0.276 0.832 Tm
0.390 0.057 0.168 Tm
0.445 0.776 0.334 Tm
0.555 0.224 0.666 Tm
0.610 0.943 0.832 Tm
0.724 0.724 0.168 Tm
0.776 0.445 0.334 Tm
0.886 0.886 0.666 Tm
0.943 0.610 0.832 Tm
0.500 0.500 0.500 Sc
```

Largest 10 diffraction maxima, most intense first, 10 to 90 degrees two-theta:
32.8 deg, I 100
31.7 deg, I 90
30.8 deg, I 90
62.5 deg, I 78
52.3 deg, I 67
34.5 deg, I 55
37.6 deg, I 55
32.0 deg, I 49
89.1 deg, I 41
35.4 deg, I 38

***

Record 8
Diffraction record for HoAl3Au2. The powder diffraction line list is simulated, not measured: it uses a DFT-relaxed cell (PBE, Alexandria) and copper Kα.
Intensities are scaled so that the largest is 100.

Structural model:
```
HoAl3Au2
1.0
8.423 -2.096 0.000
8.423 2.096 0.000
-2.707 0.000 9.770
Ho Al Au
3 9 6
direct
0.000 0.000 0.000 Ho
0.157 0.157 0.706 Ho
0.843 0.843 0.294 Ho
0.041 0.041 0.358 Al
0.213 0.213 0.381 Al
0.332 0.332 0.041 Al
0.375 0.375 0.803 Al
0.500 0.500 0.500 Al
0.625 0.625 0.197 Al
0.668 0.668 0.959 Al
0.787 0.787 0.619 Al
0.959 0.959 0.642 Al
0.198 0.198 0.121 Au
0.355 0.355 0.536 Au
0.472 0.472 0.215 Au
0.528 0.528 0.785 Au
0.645 0.645 0.464 Au
0.802 0.802 0.879 Au
```

Largest 10 diffraction maxima, most intense first, 10 to 90 degrees two-theta:
34.2 deg, I 100
30.0 deg, I 61
35.1 deg, I 51
43.2 deg, I 45
27.6 deg, I 43
25.9 deg, I 37
33.1 deg, I 34
26.6 deg, I 27
26.9 deg, I 27
24.5 deg, I 25

***

Record 9
Diffraction record for PrSm7Cd2. The powder diffraction line list is simulated, not measured: it uses a DFT-relaxed cell (PBE, Alexandria) and copper Kα.
Intensities are scaled so that the largest is 100.

Structural model:
```
PrSm7Cd2
1.0
4.554 -7.890 0.000
4.554 7.890 0.000
0.000 0.000 5.432
Pr Sm Cd
1 7 2
direct
0.000 0.000 0.000 Pr
0.063 0.301 0.500 Sm
0.229 0.771 0.000 Sm
0.301 0.063 0.500 Sm
0.500 0.500 0.500 Sm
0.699 0.937 0.500 Sm
0.771 0.229 0.000 Sm
0.937 0.699 0.500 Sm
0.304 0.696 0.500 Cd
0.696 0.304 0.500 Cd
```

Largest 10 diffraction maxima, most intense first, 10 to 90 degrees two-theta:
34.3 deg, I 100
30.0 deg, I 59
45.2 deg, I 38
33.0 deg, I 36
28.0 deg, I 36
16.3 deg, I 29
59.8 deg, I 20
25.5 deg, I 17
61.2 deg, I 17
19.8 deg, I 16

***

Record 10
Diffraction record for Pm4Sm5Pu. The powder diffraction line list is simulated, not measured: it uses a DFT-relaxed cell (PBE, Alexandria) and copper Kα.
Intensities are scaled so that the largest is 100.

Structural model:
```
Pm4Sm5Pu
1.0
8.882 -2.482 0.000
8.882 2.482 0.000
-3.657 0.000 8.000
Pm Sm Pu
4 5 1
direct
0.031 0.031 0.274 Pm
0.324 0.324 0.576 Pm
0.676 0.676 0.424 Pm
0.969 0.969 0.726 Pm
0.156 0.156 0.698 Sm
0.181 0.181 0.115 Sm
0.500 0.500 0.000 Sm
0.819 0.819 0.885 Sm
0.844 0.844 0.302 Sm
0.500 0.500 0.500 Pu
```

Largest 10 diffraction maxima, most intense first, 10 to 90 degrees two-theta:
30.9 deg, I 100
32.8 deg, I 45
36.2 deg, I 27
33.3 deg, I 24
50.0 deg, I 15
31.6 deg, I 14
61.8 deg, I 14
11.1 deg, I 12
24.4 deg, I 11
41.2 deg, I 9

***

Record 11
Diffraction record for CsHg4Pb. The powder diffraction line list is simulated, not measured: it uses a DFT-relaxed cell (PBE, Alexandria) and copper Kα.
Intensities are scaled so that the largest is 100.

Structural model:
```
CsHg4Pb
1.0
5.679 -3.854 0.000
5.679 3.854 0.000
-3.194 0.000 9.301
Cs Hg Pb
2 8 2
direct
0.186 0.186 0.277 Cs
0.814 0.814 0.723 Cs
0.178 0.603 0.059 Hg
0.197 0.197 0.765 Hg
0.205 0.795 0.500 Hg
0.397 0.822 0.941 Hg
0.603 0.178 0.059 Hg
0.795 0.205 0.500 Hg
0.803 0.803 0.235 Hg
0.822 0.397 0.941 Hg
0.436 0.436 0.680 Pb
0.564 0.564 0.320 Pb
```

Largest 10 diffraction maxima, most intense first, 10 to 90 degrees two-theta:
30.1 deg, I 100
28.5 deg, I 81
29.2 deg, I 49
39.4 deg, I 39
38.0 deg, I 31
36.7 deg, I 28
53.3 deg, I 28
53.1 deg, I 21
36.5 deg, I 20
43.3 deg, I 20

***

Record 12
Diffraction record for Ac4Cd5Bi7. The powder diffraction line list is simulated, not measured: it uses a DFT-relaxed cell (PBE, Alexandria) and copper Kα.
Intensities are scaled so that the largest is 100.

Structural model:
```
Ac4Cd5Bi7
1.0
-3.479 3.479 10.451
3.479 -3.479 10.451
3.479 3.479 -10.451
Ac Cd Bi
4 5 7
direct
0.126 0.636 0.000 Ac
0.364 0.364 0.491 Ac
0.636 0.126 0.000 Ac
0.874 0.874 0.509 Ac
0.248 0.248 0.000 Cd
0.250 0.750 0.500 Cd
0.500 0.500 0.000 Cd
0.750 0.250 0.500 Cd
0.752 0.752 0.000 Cd
0.000 0.000 0.000 Bi
0.000 0.500 0.500 Bi
0.106 0.106 0.515 Bi
0.408 0.894 0.000 Bi
0.500 0.000 0.500 Bi
0.592 0.592 0.485 Bi
0.894 0.408 0.000 Bi
```

Largest 10 diffraction maxima, most intense first, 10 to 90 degrees two-theta:
30.9 deg, I 100
36.5 deg, I 37
62.3 deg, I 27
51.0 deg, I 19
52.6 deg, I 13
34.3 deg, I 13
24.9 deg, I 9
64.3 deg, I 9
39.0 deg, I 8
59.3 deg, I 8

***

Record 13
Diffraction record for NaCdF3. The powder diffraction line list is simulated, not measured: it uses a DFT-relaxed cell (PBE, Alexandria) and copper Kα.
Intensities are scaled so that the largest is 100.

Structural model:
```
NaCdF3
1.0
6.153 -2.937 0.000
6.153 2.937 0.000
-0.624 0.000 5.834
Na Cd F
2 2 6
direct
0.250 0.750 0.500 Na
0.750 0.250 0.000 Na
0.087 0.587 0.965 Cd
0.587 0.087 0.465 Cd
0.410 0.413 0.731 F
0.413 0.410 0.231 F
0.415 0.919 0.428 F
0.910 0.912 0.230 F
0.912 0.910 0.730 F
0.919 0.415 0.928 F
```

Largest 10 diffraction maxima, most intense first, 10 to 90 degrees two-theta:
14.5 deg, I 100
22.1 deg, I 67
23.2 deg, I 65
29.6 deg, I 34
43.7 deg, I 29
31.9 deg, I 28
45.2 deg, I 21
44.4 deg, I 17
30.4 deg, I 16
41.4 deg, I 15